Starting from a cell relaxed with PBE, the powder XRD pattern of LiHg3Sb was calculated for λ = 1.5418 Å (Cu Kα).

abc: 7.796 7.796 7.796
angles: 122.50 122.50 85.72
Element x y z (fractional)
1 Li 0.250 0.750 0.500
2 Li 0.750 0.250 0.500
3 Hg 0.135 0.635 0.770
4 Hg 0.250 0.250 0.000
5 Hg 0.365 0.135 0.500
6 Hg 0.635 0.865 0.500
7 Hg 0.750 0.750 0.000
8 Hg 0.865 0.365 0.230
9 Sb 0.000 0.000 0.000
10 Sb 0.500 0.500 0.000

Top 6 peaks for 2θ from 10° to 90°, in order of rising 2θ:
2theta	intensity
15.5	55.0
27.7	100.0
31.3	54.9
35.7	58.3
37.9	71.5
50.0	76.9

***

Starting from a cell relaxed with PBE, the powder XRD pattern of Cu2Ag3 was calculated for λ = 1.5418 Å (Cu Kα).

abc: 4.859 4.884 7.351
angles: 107.47 103.05 100.67
Element x y z (fractional)
1 Cu 0.000 0.000 0.000
2 Cu 0.216 0.402 0.405
3 Cu 0.500 0.000 0.500
4 Cu 0.784 0.598 0.595
5 Ag 0.082 0.195 0.693
6 Ag 0.299 0.594 0.107
7 Ag 0.392 0.800 0.788
8 Ag 0.608 0.200 0.212
9 Ag 0.701 0.406 0.893
10 Ag 0.918 0.805 0.307

Top 6 peaks for 2θ from 10° to 90°, in order of rising 2θ:
2theta	intensity
39.2	51.1
39.3	100.0
39.6	49.0
44.8	34.3
46.2	30.9
46.3	29.8

***

Starting from a cell relaxed with PBE, the powder XRD pattern of K2ZrSi3O9 was calculated for λ = 1.5418 Å (Cu Kα).

abc: 6.887 6.887 10.267
angles: 90.00 90.00 120.00
Element x y z (fractional)
1 K 0.333 0.667 0.000
2 K 0.333 0.667 0.389
3 K 0.667 0.333 0.500
4 K 0.667 0.333 0.889
5 Zr 0.000 0.000 0.446
6 Zr 0.000 0.000 0.946
7 Si 0.120 0.386 0.695
8 Si 0.266 0.880 0.695
9 Si 0.386 0.266 0.195
10 Si 0.614 0.734 0.695
11 Si 0.734 0.120 0.195
12 Si 0.880 0.614 0.195
13 O 0.008 0.254 0.562
14 O 0.010 0.256 0.829
15 O 0.086 0.608 0.695
16 O 0.246 0.990 0.829
17 O 0.246 0.992 0.562
18 O 0.254 0.246 0.062
19 O 0.256 0.246 0.329
20 O 0.392 0.478 0.695
21 O 0.478 0.086 0.195
22 O 0.522 0.914 0.695
23 O 0.608 0.522 0.195
24 O 0.744 0.754 0.829
25 O 0.746 0.754 0.562
26 O 0.754 0.008 0.062
27 O 0.754 0.010 0.329
28 O 0.914 0.392 0.195
29 O 0.990 0.744 0.329
30 O 0.992 0.746 0.062

Top 6 peaks for 2θ from 10° to 90°, in order of rising 2θ:
2theta	intensity
14.9	32.0
22.9	37.6
25.9	19.7
30.1	29.3
31.3	100.0
54.2	25.0

***

Starting from a cell relaxed with PBE, the powder XRD pattern of CuNiSb2 was calculated for λ = 1.5418 Å (Cu Kα).

abc: 4.768 4.768 4.768
angles: 60.00 60.00 60.00
Element x y z (fractional)
1 Cu 0.000 0.000 0.000
2 Ni 0.750 0.750 0.750
3 Sb 0.250 0.250 0.250
4 Sb 0.500 0.500 0.500

Top 6 peaks for 2θ from 10° to 90°, in order of rising 2θ:
2theta	intensity
22.8	9.9
37.7	100.0
44.6	5.1
54.4	16.7
68.1	33.1
80.6	10.2

***

Starting from a cell relaxed with PBE, the powder XRD pattern of Cu2NiB6 was calculated for λ = 1.5418 Å (Cu Kα).

abc: 3.726 3.755 7.846
angles: 90.00 90.00 90.00
Element x y z (fractional)
1 Cu 0.000 0.000 0.244
2 Cu 0.000 0.000 0.756
3 Ni 0.500 0.500 0.500
4 B 0.000 0.000 0.000
5 B 0.000 0.000 0.500
6 B 0.000 0.500 0.389
7 B 0.000 0.500 0.611
8 B 0.500 0.000 0.390
9 B 0.500 0.000 0.610

Top 6 peaks for 2θ from 10° to 90°, in order of rising 2θ:
2theta	intensity
11.3	100.0
33.0	60.7
33.2	60.2
33.9	57.0
48.9	26.7
58.6	35.5

***

Starting from a cell relaxed with PBE, the powder XRD pattern of DyAsPbO was calculated for λ = 1.5418 Å (Cu Kα).

abc: 5.048 6.588 6.376
angles: 90.00 90.00 90.00
Element x y z (fractional)
1 Dy 0.000 0.146 0.000
2 Dy 0.000 0.854 0.500
3 As 0.500 0.286 0.864
4 As 0.500 0.714 0.364
5 Pb 0.500 0.272 0.402
6 Pb 0.500 0.728 0.902
7 O 0.000 0.133 0.335
8 O 0.000 0.867 0.835

Top 6 peaks for 2θ from 10° to 90°, in order of rising 2θ:
2theta	intensity
22.2	31.9
26.3	100.0
27.1	38.7
28.0	46.2
33.2	35.3
35.6	41.9

***

Starting from a cell relaxed with PBE, the powder XRD pattern of Sm3CuSnS7 was calculated for λ = 1.5418 Å (Cu Kα).

abc: 10.010 10.010 6.107
angles: 90.00 90.00 120.00
Element x y z (fractional)
1 Sm 0.139 0.358 0.000
2 Sm 0.218 0.861 0.000
3 Sm 0.358 0.218 0.500
4 Sm 0.642 0.782 0.000
5 Sm 0.782 0.139 0.500
6 Sm 0.861 0.642 0.500
7 Cu 0.000 0.000 0.067
8 Cu 0.000 0.000 0.567
9 Sn 0.333 0.667 0.430
10 Sn 0.667 0.333 0.930
11 S 0.085 0.570 0.253
12 S 0.104 0.258 0.550
13 S 0.154 0.896 0.550
14 S 0.258 0.154 0.050
15 S 0.333 0.667 0.819
16 S 0.430 0.515 0.253
17 S 0.485 0.915 0.253
18 S 0.515 0.085 0.753
19 S 0.570 0.485 0.753
20 S 0.667 0.333 0.319
21 S 0.742 0.846 0.550
22 S 0.846 0.104 0.050
23 S 0.896 0.742 0.050
24 S 0.915 0.430 0.753

Top 6 peaks for 2θ from 10° to 90°, in order of rising 2θ:
2theta	intensity
25.2	100.0
29.2	23.6
35.9	77.2
40.4	39.3
46.9	25.2
48.1	24.5

***

Starting from a cell relaxed with PBE, the powder XRD pattern of Ge2PtO3 was calculated for λ = 1.5418 Å (Cu Kα).

abc: 5.169 2.804 5.417
angles: 90.00 93.72 90.00
Element x y z (fractional)
1 Ge 0.000 0.000 0.000
2 Ge 0.421 0.500 0.635
3 Pt 0.614 0.500 0.046
4 O 0.155 0.000 0.693
5 O 0.202 0.500 0.149
6 O 0.568 0.000 0.478

Top 6 peaks for 2θ from 10° to 90°, in order of rising 2θ:
2theta	intensity
16.4	100.0
17.2	53.1
33.1	44.0
36.5	63.0
37.7	27.5
39.7	52.9